Calculated powder X-ray diffraction pattern of Dy2AlGa5 for a wavelength of 1.5418 Å, from the PBE geometry in Alexandria.

Atomic structure:
```
data_Dy2AlGa5
_chemical_formula_sum 'Dy4 Al2 Ga10'
_symmetry_space_group_name_H-M 'I 4 m m'
_symmetry_Int_Tables_number 107
_symmetry_space_group_name_Hall 'I 4 -2'
_cell_length_a 6.0551
_cell_length_b 6.0551
_cell_length_c 8.4235
_cell_angle_alpha 90.00
_cell_angle_beta 90.00
_cell_angle_gamma 90.00
loop_
_atom_site_label
_atom_site_fract_x
_atom_site_fract_y
_atom_site_fract_z
Dy1 0.0000 0.5000 0.0000
Al1 0.0000 0.0000 0.0066
Ga1 0.0000 0.0000 0.4924
Ga2 0.2455 0.2455 0.7499
```

Most intense lines, 2θ = 15–90°, by intensity:
- 2.458 Å, 36.6°, I = 100, (2 0 2)
- 2.141 Å, 42.2°, I = 33, (2 2 0)
- 1.289 Å, 73.5°, I = 25, (4 2 2)
- 1.501 Å, 61.8°, I = 21, (2 2 4)
- 4.282 Å, 20.7°, I = 19, (1 1 0)
- 3.003 Å, 29.8°, I = 16, (1 1 2)
- 2.106 Å, 42.9°, I = 16, (0 0 4)
- 1.274 Å, 74.5°, I = 12, (2 0 6)
- 1.514 Å, 61.2°, I = 11, (4 0 0)
- 1.229 Å, 77.7°, I = 11, (4 0 4)